Simulated X-ray powder pattern of GdDyAl4Au2 for a wavelength of 1.5418 Å, from a DFT-relaxed cell (GGA-PBE, OQMD).
Neutral-atom scattering factors, no anomalous dispersion.

The 10 most intense peaks (10 to 90 degrees two-theta), in order of falling intensity:
2θ 15.7, d = 5.629 Å, rel. 100; 2θ 36.4, d = 2.465 Å, rel. 52; 2θ 46.2, d = 1.964 Å, rel. 33; 2θ 32.7, d = 2.742 Å, rel. 26; 2θ 37.6, d = 2.393 Å, rel. 24; 2θ 33.9, d = 2.643 Å, rel. 22; 2θ 19.3, d = 4.607 Å, rel. 21; 2θ 11.0, d = 8.020 Å, rel. 19; 2θ 31.8, d = 2.815 Å, rel. 14; 2θ 59.7, d = 1.549 Å, rel. 11

Cell and atoms:
```
data_GdDyAl4Au2
_symmetry_space_group_name_H-M 'A m m 2'
_symmetry_Int_Tables_number 38
_cell_length_a 5.6292
_cell_length_b 5.2864
_cell_length_c 16.0392
_cell_angle_alpha 90.00
_cell_angle_beta 90.00
_cell_angle_gamma 90.00
loop_
_symmetry_equiv_pos_as_xyz
'x,y,z'
'-x,-y,z'
'-x,y,z'
'x,-y,z'
'x,y+1/2,z+1/2'
'-x,-y+1/2,z+1/2'
'-x,y+1/2,z+1/2'
'x,-y+1/2,z+1/2'
loop_
_atom_site_label
_atom_site_type_symbol
_atom_site_fract_x
_atom_site_fract_y
_atom_site_fract_z
_atom_site_occupancy
Gd1 Gd 0.0000 0.0000 0.0000 1
Dy1 Dy 0.0000 0.0000 0.2192 1
Al1 Al 0.2658 0.0000 0.6849 1
Al2 Al 0.2706 0.0000 0.5252 1
Au1 Au 0.0000 0.0000 0.3991 1
Au2 Au 0.0000 0.0000 0.8143 1
```

***

Simulated X-ray powder pattern of DyTmAl4Au2 for a wavelength of 1.5418 Å, from a DFT-relaxed cell (GGA-PBE, OQMD).
Neutral-atom scattering factors, no anomalous dispersion.

The 10 most intense peaks (10 to 90 degrees two-theta), in order of falling intensity:
2θ 35.6, d = 2.519 Å, rel. 100; 2θ 34.4, d = 2.604 Å, rel. 57; 2θ 26.3, d = 3.384 Å, rel. 56; 2θ 37.4, d = 2.405 Å, rel. 47; 2θ 21.8, d = 4.075 Å, rel. 43; 2θ 40.7, d = 2.219 Å, rel. 31; 2θ 56.4, d = 1.631 Å, rel. 29; 2θ 52.8, d = 1.735 Å, rel. 25; 2θ 25.5, d = 3.491 Å, rel. 24; 2θ 49.1, d = 1.856 Å, rel. 21

Cell and atoms:
```
data_DyTmAl4Au2
_symmetry_space_group_name_H-M 'A m m 2'
_symmetry_Int_Tables_number 38
_cell_length_a 6.7680
_cell_length_b 4.4381
_cell_length_c 10.2937
_cell_angle_alpha 90.00
_cell_angle_beta 90.00
_cell_angle_gamma 90.00
loop_
_symmetry_equiv_pos_as_xyz
'x,y,z'
'-x,-y,z'
'-x,y,z'
'x,-y,z'
'x,y+1/2,z+1/2'
'-x,-y+1/2,z+1/2'
'-x,y+1/2,z+1/2'
'x,-y+1/2,z+1/2'
loop_
_atom_site_label
_atom_site_type_symbol
_atom_site_fract_x
_atom_site_fract_y
_atom_site_fract_z
_atom_site_occupancy
Dy1 Dy 0.0000 0.0000 0.0000 1
Tm1 Tm 0.5000 0.0000 0.1572 1
Al1 Al 0.1989 0.0000 0.7057 1
Al2 Al 0.3024 0.0000 0.4511 1
Au1 Au 0.0000 0.0000 0.2865 1
Au2 Au 0.5000 0.0000 0.8711 1
```